No. 1
Starting from a structure optimized by DFT (GGA-PBE), the powder XRD pattern of Cd4Cl6O was computed for Cu Kα X-rays.
Lines closer than 0.1° are merged.

Most intense lines, 2θ from 10° to 90°, by angle:
2θ (°), Rel. int.
22.74, 28
26.60, 100
27.42, 24
33.30, 36
35.91, 47
37.16, 45
39.94, 40
47.97, 33

Cell and atoms:
Cell lengths 9.0295, 9.0295, 6.5053 Å; angles 90.00, 90.00, 120.00 degrees
Atoms (fractional coordinates):
Cd1 0.1957 0.3914 0.0000
Cd2 0.1957 0.8043 0.0000
Cd3 0.3333 0.6667 0.4474
Cd4 0.3914 0.1957 0.5000
Cd5 0.6086 0.8043 0.0000
Cd6 0.6667 0.3333 0.9474
Cd7 0.8043 0.1957 0.5000
Cd8 0.8043 0.6086 0.5000
Cl1 0.0797 0.5398 0.7129
Cl2 0.1307 0.2614 0.3748
Cl3 0.1307 0.8693 0.3748
Cl4 0.2614 0.1307 0.8748
Cl5 0.4602 0.5398 0.7129
Cl6 0.4602 0.9203 0.7129
Cl7 0.5398 0.0797 0.2129
Cl8 0.5398 0.4602 0.2129
Cl9 0.7386 0.8693 0.3748
Cl10 0.8693 0.1307 0.8748
Cl11 0.8693 0.7386 0.8748
Cl12 0.9203 0.4602 0.2129
O1 0.3333 0.6667 0.1177
O2 0.6667 0.3333 0.6177

=====

No. 2
Starting from a structure optimized by DFT (GGA-PBE), the powder XRD pattern of Cd5P3ClO12 was computed for Cu Kα X-rays.
Lines closer than 0.1° are merged.

Most intense lines, 2θ from 10° to 90°, by angle:
2θ (°), Rel. int.
22.87, 35
29.33, 35
31.39, 100
32.05, 99
33.08, 78
46.72, 36
48.04, 39
51.85, 35

Cell and atoms:
Cell lengths 9.6737, 9.6737, 6.5374 Å; angles 90.00, 90.00, 120.00 degrees
Atoms (fractional coordinates):
Cd1 0.0133 0.2705 0.2500
Cd2 0.2572 0.9867 0.2500
Cd3 0.2705 0.2572 0.7500
Cd4 0.3333 0.6667 0.5038
Cd5 0.3333 0.6667 0.9962
Cd6 0.6667 0.3333 0.0038
Cd7 0.6667 0.3333 0.4962
Cd8 0.7295 0.7428 0.2500
Cd9 0.7428 0.0133 0.7500
Cd10 0.9867 0.7295 0.7500
P1 0.0275 0.6260 0.2500
P2 0.3740 0.4015 0.2500
P3 0.4015 0.0275 0.7500
P4 0.5985 0.9725 0.2500
P5 0.6260 0.5985 0.7500
P6 0.9725 0.3740 0.7500
Cl1 0.0000 0.0000 0.2500
Cl2 0.0000 0.0000 0.7500
O1 0.0806 0.7366 0.0606
O2 0.0806 0.7366 0.4394
O3 0.1306 0.5413 0.2500
O4 0.1525 0.4982 0.7500
O5 0.2634 0.3439 0.0606
O6 0.2634 0.3439 0.4394
O7 0.3439 0.0806 0.5606
O8 0.3439 0.0806 0.9394
O9 0.3457 0.8475 0.7500
O10 0.4107 0.8694 0.2500
O11 0.4587 0.5893 0.2500
O12 0.4982 0.3457 0.2500
O13 0.5018 0.6543 0.7500
O14 0.5413 0.4107 0.7500
O15 0.5893 0.1306 0.7500
O16 0.6543 0.1525 0.2500
O17 0.6561 0.9194 0.0606
O18 0.6561 0.9194 0.4394
O19 0.7366 0.6561 0.5606
O20 0.7366 0.6561 0.9394
O21 0.8475 0.5018 0.2500
O22 0.8694 0.4587 0.7500
O23 0.9194 0.2634 0.5606
O24 0.9194 0.2634 0.9394

=====

No. 3
Starting from a structure optimized by DFT (GGA-PBE), the powder XRD pattern of CdPb2Cl2O2 was computed for Cu Kα X-rays.
Lines closer than 0.1° are merged.

Most intense lines, 2θ from 10° to 90°, by angle:
2θ (°), Rel. int.
13.60, 26
23.30, 26
24.57, 25
25.88, 26
29.03, 63
30.33, 100
34.73, 68
49.23, 28

Cell and atoms:
Cell lengths 6.5093, 6.5093, 7.6775 Å; angles 120.38, 120.38, 34.47 degrees
Atoms (fractional coordinates):
Cd1 0.0000 0.0000 0.0000
Pb1 0.1872 0.1872 0.7584
Pb2 0.8119 0.8119 0.2373
Cl1 0.4395 0.4395 0.7029
Cl2 0.5605 0.5605 0.2976
O1 0.1930 0.1930 0.0671
O2 0.8060 0.8060 0.9292

=====

No. 4
Starting from a structure optimized by DFT (GGA-PBE), the powder XRD pattern of Cd3Se2Cl2O6 was computed for Cu Kα X-rays.
Lines closer than 0.1° are merged.

Most intense lines, 2θ from 10° to 90°, by angle:
2θ (°), Rel. int.
20.68, 30
26.01, 100
26.79, 24
29.70, 52
32.57, 95
39.89, 27
49.79, 28
50.18, 47

Cell and atoms:
Cell lengths 5.9813, 5.9813, 7.5994 Å; angles 113.30, 113.30, 69.87 degrees
Atoms (fractional coordinates):
Cd1 0.0000 0.0000 0.0000
Cd2 0.4715 0.4715 0.2334
Cd3 0.5285 0.5285 0.7666
Se1 0.1497 0.1497 0.7239
Se2 0.8503 0.8503 0.2761
Cl1 0.2860 0.2860 0.3911
Cl2 0.7140 0.7140 0.6089
O1 0.0968 0.7336 0.1745
O2 0.2664 0.9032 0.8255
O3 0.3467 0.3467 0.8773
O4 0.6533 0.6533 0.1227
O5 0.7336 0.0968 0.1745
O6 0.9032 0.2664 0.8255

=====

No. 5
Starting from a structure optimized by DFT (GGA-PBE), the powder XRD pattern of Sr2Cd3Cl2O4 was computed for Cu Kα X-rays.
Lines closer than 0.1° are merged.

Most intense lines, 2θ from 10° to 90°, by angle:
2θ (°), Rel. int.
14.92, 87
26.79, 59
29.08, 100
36.66, 48
39.95, 45
41.60, 57
44.43, 21
56.63, 26

Cell and atoms:
Cell lengths 7.3571, 7.3571, 7.3571 Å; angles 130.67, 130.67, 72.34 degrees
Atoms (fractional coordinates):
Sr1 0.1374 0.1374 0.0000
Sr2 0.8626 0.8626 0.0000
Cd1 0.0000 0.5000 0.5000
Cd2 0.5000 0.0000 0.5000
Cd3 0.5000 0.5000 0.0000
Cl1 0.2500 0.7500 0.5000
Cl2 0.7500 0.2500 0.5000
O1 0.2343 0.2343 0.4685
O2 0.2343 0.7657 0.0000
O3 0.7657 0.2343 0.0000
O4 0.7657 0.7657 0.5315

=====

No. 6
Starting from a structure optimized by DFT (GGA-PBE), the powder XRD pattern of Cd4Te6Cl6O13 was computed for Cu Kα X-rays.
Lines closer than 0.1° are merged.

Most intense lines, 2θ from 10° to 90°, by angle:
2θ (°), Rel. int.
18.42, 47
26.67, 56
26.91, 43
27.22, 56
29.03, 36
31.27, 100
31.37, 51
45.88, 40

Cell and atoms:
Cell lengths 7.9126, 9.8298, 13.9802 Å; angles 104.31, 105.84, 90.11 degrees
Atoms (fractional coordinates):
Cd1 0.0959 0.1495 0.4607
Cd2 0.1062 0.6605 0.9637
Cd3 0.3899 0.3408 0.0338
Cd4 0.4011 0.8534 0.5342
Cd5 0.5989 0.1466 0.4658
Cd6 0.6101 0.6592 0.9662
Cd7 0.8938 0.3395 0.0363
Cd8 0.9041 0.8505 0.5393
Te1 0.0397 0.7730 0.3106
Te2 0.2046 0.5045 0.6058
Te3 0.2209 0.0620 0.2361
Te4 0.2546 0.9412 0.7623
Te5 0.3537 0.4936 0.3888
Te6 0.4883 0.1854 0.7131
Te7 0.5117 0.8146 0.2869
Te8 0.6463 0.5064 0.6112
Te9 0.7454 0.0588 0.2377
Te10 0.7791 0.9380 0.7639
Te11 0.7954 0.4955 0.3942
Te12 0.9603 0.2270 0.6894
Cl1 0.0193 0.6955 0.7835
Cl2 0.1080 0.1663 0.9678
Cl3 0.1823 0.5373 0.1131
Cl4 0.3211 0.4613 0.8823
Cl5 0.3903 0.8295 0.0314
Cl6 0.4730 0.2830 0.2083
Cl7 0.5270 0.7170 0.7917
Cl8 0.6097 0.1705 0.9686
Cl9 0.6789 0.5387 0.1177
Cl10 0.8177 0.4627 0.8869
Cl11 0.8920 0.8337 0.0322
Cl12 0.9807 0.3045 0.2165
O1 0.0006 0.9809 0.7303
O2 0.1009 0.9065 0.4393
O3 0.1028 0.3268 0.6108
O4 0.1357 0.4369 0.4585
O5 0.2013 0.8244 0.6272
O6 0.2452 0.8706 0.2654
O7 0.2481 0.1278 0.7277
O8 0.2554 0.6781 0.3665
O9 0.3016 0.1703 0.3731
O10 0.4194 0.1030 0.5697
O11 0.4272 0.6107 0.5325
O12 0.4299 0.4141 0.6310
O13 0.4932 0.0063 0.2600
O14 0.5068 0.9937 0.7400
O15 0.5701 0.5859 0.3690
O16 0.5728 0.3893 0.4675
O17 0.5806 0.8970 0.4303
O18 0.6984 0.8298 0.6269
O19 0.7446 0.3219 0.6335
O20 0.7519 0.8722 0.2723
O21 0.7548 0.1294 0.7346
O22 0.7987 0.1756 0.3728
O23 0.8643 0.5631 0.5415
O24 0.8972 0.6732 0.3892
O25 0.8991 0.0935 0.5607
O26 0.9994 0.0191 0.2697

=====

No. 7
Starting from a structure optimized by DFT (GGA-PBE), the powder XRD pattern of CdPb2Cl5 was computed for Cu Kα X-rays.
Lines closer than 0.1° are merged.

Most intense lines, 2θ from 10° to 90°, by angle:
2θ (°), Rel. int.
12.84, 16
18.20, 27
25.87, 100
31.82, 41
36.86, 30
45.61, 45
53.18, 30
72.57, 16

Cell and atoms:
Cell lengths 6.8965, 6.8965, 4.8607 Å; angles 90.00, 90.00, 90.00 degrees
Atoms (fractional coordinates):
Cd1 0.0000 0.0000 0.0000
Pb1 0.0000 0.5000 0.5000
Pb2 0.5000 0.0000 0.5000
Cl1 0.0000 0.0000 0.5000
Cl2 0.2650 0.2650 0.0000
Cl3 0.2650 0.7350 0.0000
Cl4 0.7350 0.2650 0.0000
Cl5 0.7350 0.7350 0.0000

=====

No. 8
Starting from a structure optimized by DFT (GGA-PBE), the powder XRD pattern of Cd2PbCl8 was computed for Cu Kα X-rays.
Lines closer than 0.1° are merged.

Most intense lines, 2θ from 10° to 90°, by angle:
2θ (°), Rel. int.
15.45, 70
20.66, 100
29.41, 93
36.20, 49
41.98, 32
47.23, 29
52.08, 34
52.21, 28

Cell and atoms:
Cell lengths 9.5910, 9.5910, 9.5910 Å; angles 142.99, 142.99, 53.34 degrees
Atoms (fractional coordinates):
Cd1 0.2437 0.2437 0.0000
Cd2 0.7563 0.7563 0.0000
Pb1 0.0000 0.0000 0.0000
Cl1 0.0871 0.0800 0.5153
Cl2 0.1665 0.6785 0.9849
Cl3 0.3215 0.3064 0.4880
Cl4 0.4282 0.9129 0.9929
Cl5 0.5647 0.5718 0.4847
Cl6 0.6936 0.1816 0.0151
Cl7 0.8184 0.8335 0.5120
Cl8 0.9200 0.4353 0.0071